Entry 1:
Diffraction record for LiO8. The powder X-ray diffraction pattern is calculated, not measured: it uses a PBE-relaxed structure and Cu Kα.

Atomic structure:
a = 4.4770 Å, b = 5.5264 Å, c = 5.5268 Å
α = 70.19°, β = 71.72°, γ = 69.91°
Atoms (fractional coordinates):
Li1 0.0000 0.0000 0.0000
O1 0.3712 0.3325 0.2367
O2 0.3862 0.8384 0.1529
O3 0.4024 0.8345 0.7381
O4 0.4080 0.4086 0.8318
O5 0.6727 0.2600 0.2153
O6 0.6961 0.7672 0.0803
O7 0.7039 0.7711 0.7073
O8 0.7121 0.3451 0.7777

Most intense lines, 15° ≤ 2θ ≤ 90°, by intensity:
- d = 4.098 Å, 2θ 21.7, rel. 100
- d = 5.069 Å, 2θ 17.5, rel. 55
- d = 2.506 Å, 2θ 35.8, rel. 51
- d = 2.447 Å, 2θ 36.7, rel. 44
- d = 2.534 Å, 2θ 35.4, rel. 32
- d = 2.638 Å, 2θ 34.0, rel. 23
- d = 2.410 Å, 2θ 37.3, rel. 19
- d = 2.543 Å, 2θ 35.3, rel. 17

=====

Entry 2:
Diffraction record for LiO8. The powder X-ray diffraction pattern is calculated, not measured: it uses a PBE-relaxed structure and Cu Kα.

Atomic structure:
a = 5.1123 Å, b = 5.1123 Å, c = 5.0574 Å
α = 118.58°, β = 118.58°, γ = 73.49°
Atoms (fractional coordinates):
Li1 0.0000 0.0000 0.0000
O1 0.0167 0.5297 0.6534
O2 0.0611 0.0611 0.6519
O3 0.3488 0.3488 0.3535
O4 0.4296 0.8959 0.3449
O5 0.4521 0.4521 0.6575
O6 0.5297 0.0167 0.6534
O7 0.8959 0.4296 0.3449
O8 0.9375 0.9375 0.3418

Most intense lines, 15° ≤ 2θ ≤ 90°, by intensity:
- d = 4.057 Å, 2θ 21.9, rel. 100
- d = 2.420 Å, 2θ 37.1, rel. 99
- d = 2.239 Å, 2θ 40.3, rel. 57
- d = 2.489 Å, 2θ 36.1, rel. 27
- d = 4.478 Å, 2θ 19.8, rel. 14
- d = 1.529 Å, 2θ 60.5, rel. 12
- d = 1.948 Å, 2θ 46.6, rel. 12
- d = 1.980 Å, 2θ 45.8, rel. 11

=====

Entry 3:
Diffraction record for Li2O. The powder X-ray diffraction pattern is calculated, not measured: it uses a PBE-relaxed structure and Cu Kα.

Atomic structure:
a = 3.2943 Å, b = 3.2943 Å, c = 3.2943 Å
α = 60.00°, β = 60.00°, γ = 60.00°
Atoms (fractional coordinates):
Li1 0.2500 0.2500 0.2500
Li2 0.7500 0.7500 0.7500
O1 0.0000 0.0000 0.0000

Most intense lines, 15° ≤ 2θ ≤ 90°, by intensity:
- d = 2.690 Å, 2θ 33.3, rel. 100
- d = 1.647 Å, 2θ 55.8, rel. 69
- d = 1.405 Å, 2θ 66.6, rel. 22
- d = 1.165 Å, 2θ 82.9, rel. 8
- d = 2.329 Å, 2θ 38.7, rel. 6

=====

Entry 4:
Diffraction record for LiO8. The powder X-ray diffraction pattern is calculated, not measured: it uses a PBE-relaxed structure and Cu Kα.

Atomic structure:
a = 5.0915 Å, b = 5.0915 Å, c = 4.3434 Å
α = 108.26°, β = 108.26°, γ = 71.43°
Atoms (fractional coordinates):
Li1 0.0000 0.0000 0.0000
O1 0.2042 0.7337 0.3430
O2 0.2663 0.7958 0.6570
O3 0.2756 0.2756 0.3399
O4 0.3370 0.3370 0.6505
O5 0.6630 0.6630 0.3495
O6 0.7244 0.7244 0.6601
O7 0.7337 0.2042 0.3430
O8 0.7958 0.2663 0.6570

Most intense lines, 15° ≤ 2θ ≤ 90°, by intensity:
- d = 4.007 Å, 2θ 22.2, rel. 100
- d = 2.344 Å, 2θ 38.4, rel. 83
- d = 2.272 Å, 2θ 39.7, rel. 72
- d = 2.338 Å, 2θ 38.5, rel. 28
- d = 2.429 Å, 2θ 37.0, rel. 27
- d = 2.057 Å, 2θ 44.0, rel. 11
- d = 1.486 Å, 2θ 62.5, rel. 11
- d = 3.481 Å, 2θ 25.6, rel. 9

=====

Entry 5:
Diffraction record for Li2O. The powder X-ray diffraction pattern is calculated, not measured: it uses a PBE-relaxed structure and Cu Kα.

Atomic structure:
a = 5.1518 Å, b = 3.1404 Å, c = 5.9334 Å
α = 90.00°, β = 90.00°, γ = 90.00°
Atoms (fractional coordinates):
Li1 0.0122 0.2500 0.1591
Li2 0.1411 0.2500 0.5792
Li3 0.3589 0.7500 0.0792
Li4 0.4878 0.7500 0.6591
Li5 0.5122 0.2500 0.3409
Li6 0.6411 0.2500 0.9208
Li7 0.8589 0.7500 0.4208
Li8 0.9878 0.7500 0.8409
O1 0.2461 0.7500 0.3988
O2 0.2539 0.2500 0.8988
O3 0.7461 0.7500 0.1012
O4 0.7539 0.2500 0.6012

Most intense lines, 15° ≤ 2θ ≤ 90°, by intensity:
- d = 2.573 Å, 2θ 34.9, rel. 100
- d = 2.444 Å, 2θ 36.8, rel. 74
- d = 1.888 Å, 2θ 48.2, rel. 63
- d = 2.776 Å, 2θ 32.3, rel. 36
- d = 1.674 Å, 2θ 54.9, rel. 36
- d = 1.990 Å, 2θ 45.6, rel. 29
- d = 1.570 Å, 2θ 58.8, rel. 28
- d = 1.403 Å, 2θ 66.6, rel. 24

=====

Entry 6:
Diffraction record for LiO8. The powder X-ray diffraction pattern is calculated, not measured: it uses a PBE-relaxed structure and Cu Kα.

Atomic structure:
a = 5.6800 Å, b = 5.6800 Å, c = 4.5735 Å
α = 111.74°, β = 111.74°, γ = 69.48°
Atoms (fractional coordinates):
Li1 0.0000 0.0000 0.0000
O1 0.1349 0.6061 0.8484
O2 0.1780 0.1780 0.8342
O3 0.1937 0.6714 0.1608
O4 0.2425 0.2425 0.1449
O5 0.5372 0.5372 0.8781
O6 0.5960 0.5960 0.1793
O7 0.6061 0.1349 0.8484
O8 0.6714 0.1937 0.1608

Most intense lines, 15° ≤ 2θ ≤ 90°, by intensity:
- d = 4.082 Å, 2θ 21.8, rel. 100
- d = 2.555 Å, 2θ 35.1, rel. 91
- d = 5.112 Å, 2θ 17.3, rel. 50
- d = 2.500 Å, 2θ 35.9, rel. 48
- d = 2.732 Å, 2θ 32.8, rel. 28
- d = 1.890 Å, 2θ 48.1, rel. 21
- d = 3.733 Å, 2θ 23.8, rel. 17
- d = 1.753 Å, 2θ 52.2, rel. 17